Entry 1:
Theoretical X-ray diffraction stick pattern of Cs8Pd3O8 for CuKα, from the PBE geometry in Alexandria.

Largest 8 diffraction maxima, in order of rising 2θ, 2θ = 10–80°:
25.08°, rel. 32, (1 1 -2)
25.50°, rel. 47, (5 1 -1)
25.86°, rel. 51, (6 0 0)
25.99°, rel. 39, (5 1 0)
27.24°, rel. 86, (1 1 2)
29.05°, rel. 100, (0 2 0)
29.29°, rel. 52, (5 1 -2)
43.45°, rel. 30, (6 0 -4)

Atomic structure:
```
data_Cs8Pd3O8
_symmetry_space_group_name_H-M 'C 1 2/m 1'
_symmetry_Int_Tables_number 12
_cell_length_a 21.6640
_cell_length_b 6.1471
_cell_length_c 8.7455
_cell_angle_alpha 90.00
_cell_angle_beta 107.54
_cell_angle_gamma 90.00
loop_
_symmetry_equiv_pos_as_xyz
'x,y,z'
'-x,-y,-z'
'-x,y,-z'
'x,-y,z'
'x+1/2,y+1/2,z'
'-x+1/2,-y+1/2,-z'
'-x+1/2,y+1/2,-z'
'x+1/2,-y+1/2,z'
loop_
_atom_site_label
_atom_site_fract_x
_atom_site_fract_y
_atom_site_fract_z
_atom_site_occupancy
Cs1 0.0220 0.0000 0.2528 1
Cs2 0.1086 0.5000 0.9432 1
Cs3 0.1701 0.5000 0.4661 1
Cs4 0.2025 0.0000 0.7934 1
Pd1 0.0000 0.5000 0.5000 1
Pd2 0.1806 0.0000 0.1915 1
O1 0.0186 0.5000 0.3018 1
O2 0.1116 0.0000 0.9900 1
O3 0.1837 0.0000 0.4129 1
O4 0.2345 0.5000 0.8319 1
```

---

Entry 2:
Theoretical X-ray diffraction stick pattern of La6TlIn3 for CuKα, from the PBE geometry in Alexandria.

Largest 8 diffraction maxima, in order of rising 2θ, 2θ = 10–80°:
25.03°, rel. 25, (1 1 -3)
30.50°, rel. 100, (1 0 2)
31.06°, rel. 48, (2 1 -4)
31.24°, rel. 48, (1 2 -3)
32.07°, rel. 34, (3 1 -3)
33.73°, rel. 63, (1 3 -1)
34.66°, rel. 33, (2 2 0)
36.64°, rel. 27, (3 1 -1)

Atomic structure:
```
data_La6TlIn3
_symmetry_space_group_name_H-M 'P 1 21/c 1'
_symmetry_Int_Tables_number 14
_cell_length_a 8.9051
_cell_length_b 8.3535
_cell_length_c 12.2759
_cell_angle_alpha 90.00
_cell_angle_beta 132.23
_cell_angle_gamma 90.00
loop_
_symmetry_equiv_pos_as_xyz
'x,y,z'
'-x,-y,-z'
'-x,y+1/2,-z+1/2'
'x,-y+1/2,z+1/2'
loop_
_atom_site_label
_atom_site_fract_x
_atom_site_fract_y
_atom_site_fract_z
_atom_site_occupancy
La1 0.0030 0.1081 0.2696 1
La2 0.2647 0.6790 0.0834 1
La3 0.4095 0.1365 0.0593 1
Tl1 0.5000 0.0000 0.5000 1
In1 0.0000 0.0000 0.0000 1
In2 0.2543 0.1678 0.7096 1
```

---

Entry 3:
Theoretical X-ray diffraction stick pattern of CaHg2Pd for CuKα, from the PBE geometry in Alexandria.

Largest 8 diffraction maxima, in order of rising 2θ, 2θ = 10–80°:
19.27°, rel. 49, (2 0 1)
22.19°, rel. 45, (4 0 0)
31.23°, rel. 64, (4 2 0)
33.75°, rel. 60, (2 0 2)
37.28°, rel. 50, (6 0 1)
38.31°, rel. 61, (2 3 1)
39.95°, rel. 57, (4 3 0)
40.48°, rel. 100, (2 2 2)

Atomic structure:
```
data_CaHg2Pd
_symmetry_space_group_name_H-M 'P n m a'
_symmetry_Int_Tables_number 62
_cell_length_a 16.0189
_cell_length_b 8.1954
_cell_length_c 5.6293
_cell_angle_alpha 90.00
_cell_angle_beta 90.00
_cell_angle_gamma 90.00
loop_
_symmetry_equiv_pos_as_xyz
'x,y,z'
'-x,-y,-z'
'-x+1/2,-y,z+1/2'
'x+1/2,y,-z+1/2'
'x+1/2,-y+1/2,-z+1/2'
'-x+1/2,y+1/2,z+1/2'
'-x,y+1/2,-z'
'x,-y+1/2,z'
loop_
_atom_site_label
_atom_site_fract_x
_atom_site_fract_y
_atom_site_fract_z
_atom_site_occupancy
Ca1 0.1051 0.2500 0.2379 1
Ca2 0.1409 0.7500 0.4633 1
Hg1 0.0342 0.0530 0.7348 1
Hg2 0.2146 0.5505 0.9603 1
Pd1 0.0693 0.7500 0.9681 1
Pd2 0.1814 0.2500 0.7383 1
```